Cs2TlCd3Hg12: calculated powder diffraction line list (λ = 1.5418 Å (Cu Kα)), based on a structure optimized by DFT (PBE).
Peak positions follow from Bragg's law for the DFT cell and can differ from measured ones.

Structure:
Cell lengths 7.2948, 7.2948, 38.4782 Å; angles 90.00, 90.00, 120.00 degrees
Space group R-3m (No. 166, hexagonal axes)
Asymmetric unit:
1 Cs 0.0000 0.0000 0.1410 x6
2 Tl 0.0000 0.0000 0.5000 x3
3 Cd 0.0000 0.5000 0.0000 x9
4 Hg 0.0086 0.5043 0.8962 x18
5 Hg 0.0504 0.5252 0.6175 x18

Principal peaks in the range 2θ from 10° to 90°, by angle:
2θ (°)	intensity	hkl
16.8	32	1 0 4
25.4	27	1 1 3
27.1	28	1 0 10
28.1	22	1 1 6
28.6	25	2 0 2
29.2	40	0 1 11
29.8	85	0 2 4
34.0	100	2 0 8
36.8	59	0 2 10
50.0	52	2 2 0

=====

Cs2Tl4CdHg3: calculated powder diffraction line list (λ = 1.5418 Å (Cu Kα)), based on a structure optimized by DFT (PBE).
Peak positions follow from Bragg's law for the DFT cell and can differ from measured ones.

Structure:
Cell lengths 5.3179, 5.3179, 13.0014 Å; angles 90.00, 90.00, 90.00 degrees
Space group P-4m2 (No. 115)
Asymmetric unit:
1 Cs 0.0000 0.5000 0.2469 x2
2 Tl 0.0000 0.0000 0.5000 x1
3 Tl 0.0000 0.5000 0.8795 x2
4 Tl 0.5000 0.5000 0.5000 x1
5 Cd 0.5000 0.5000 0.0000 x1
6 Hg 0.0000 0.0000 0.0000 x1
7 Hg 0.0000 0.5000 0.6327 x2

Principal peaks in the range 2θ from 10° to 90°, by angle:
2θ (°)	intensity	hkl
26.5	71	1 0 3
27.4	100	1 1 2
33.7	93	2 0 0
36.5	83	1 1 4
38.5	38	1 0 5
43.4	38	2 1 3
48.4	52	2 2 0
52.1	28	2 1 5
56.5	27	3 1 2
62.2	33	3 1 4

=====

CsTlCd2Hg: calculated powder diffraction line list (λ = 1.5418 Å (Cu Kα)), based on a structure optimized by DFT (PBE).
Peak positions follow from Bragg's law for the DFT cell and can differ from measured ones.

Structure:
Cell lengths 5.1958, 5.2385, 12.7348 Å; angles 90.00, 90.00, 90.00 degrees
Space group Imm2 (No. 44)
Asymmetric unit:
1 Cs 0.0000 0.0000 0.0000 x2
2 Tl 0.0000 0.5000 0.7467 x2
3 Cd 0.0000 0.0000 0.3724 x2
4 Cd 0.0000 0.5000 0.2508 x2
5 Hg 0.0000 0.0000 0.6130 x2

Principal peaks in the range 2θ from 10° to 90°, by angle:
2θ (°)	intensity	hkl
13.9	17	0 0 2
27.1	55	0 1 3
28.0	100	1 1 2
34.2	37	0 2 0
34.5	36	2 0 0
37.3	53	1 1 4
39.4	29	0 1 5
49.4	26	2 2 0
57.5	16	1 3 2
57.9	20	0 0 8

=====

CsTl2Cd2Hg2: calculated powder diffraction line list (λ = 1.5418 Å (Cu Kα)), based on a structure optimized by DFT (PBE).
Peak positions follow from Bragg's law for the DFT cell and can differ from measured ones.

Structure:
Cell lengths 5.0500, 5.0500, 32.6966 Å; angles 90.00, 90.00, 120.00 degrees
Space group R-3m (No. 166, hexagonal axes)
Asymmetric unit:
1 Cs 0.0000 0.0000 0.0000 x3
2 Tl 0.0000 0.0000 0.1397 x6
3 Cd 0.0000 0.0000 0.2359 x6
4 Hg 0.0000 0.0000 0.4099 x6

Principal peaks in the range 2θ from 10° to 90°, by angle:
2θ (°)	intensity	hkl
23.1	17	1 0 4
24.5	46	0 1 5
27.9	61	1 0 7
29.9	32	0 1 8
35.6	100	1 1 0
36.5	57	0 1 11
51.9	24	2 0 11
59.3	16	2 1 7
63.9	18	3 0 0
64.5	23	1 2 11

=====

Cs3CdI5: calculated powder diffraction line list (λ = 1.5418 Å (Cu Kα)), based on a structure optimized by DFT (PBE).
Peak positions follow from Bragg's law for the DFT cell and can differ from measured ones.

Structure:
Cell lengths 10.3512, 12.0266, 15.2920 Å; angles 90.00, 90.00, 90.00 degrees
Space group Pnma (No. 62)
Asymmetric unit:
1 Cs 0.0770 0.2500 0.0502 x4
2 Cs 0.0849 0.0187 0.3281 x8
3 Cd 0.1872 0.2500 0.6072 x4
4 I 0.0445 0.7500 0.4921 x4
5 I 0.1298 0.2500 0.7866 x4
6 I 0.1698 0.7500 0.7617 x4
7 I 0.1860 0.5525 0.0600 x8

Principal peaks in the range 2θ from 10° to 90°, by angle:
2θ (°)	intensity	hkl
23.4	100	2 2 1
24.5	89	2 0 3
24.8	55	1 0 4
25.5	51	2 2 2
26.5	22	3 0 1
27.5	22	3 1 1
29.7	51	0 4 0
39.4	21	2 0 6
46.7	25	5 2 1
48.5	20	4 2 5

=====

CsCd2I4: calculated powder diffraction line list (λ = 1.5418 Å (Cu Kα)), based on a structure optimized by DFT (PBE).
Peak positions follow from Bragg's law for the DFT cell and can differ from measured ones.

Structure:
Cell lengths 15.1123, 9.2947, 11.8647 Å; angles 90.00, 128.99, 90.00 degrees
Space group C2 (No. 5)
Asymmetric unit:
1 Cs 0.2244 0.0000 0.4633 x4
2 Cd 0.0000 0.5002 0.0000 x2
3 Cd 0.0000 0.5010 0.5000 x2
4 Cd 0.2502 0.2502 0.0000 x4
5 I 0.0063 0.7202 0.1952 x4
6 I 0.0068 0.2802 0.1953 x4
7 I 0.2233 0.0004 0.1337 x4
8 I 0.2394 0.0003 0.8053 x4

Principal peaks in the range 2θ from 10° to 90°, by angle:
2θ (°)	intensity	hkl
12.1	21	1 1 0
24.5	100	2 2 -2
24.7	31	3 1 0
25.6	36	4 0 -3
29.8	94	2 2 -3
30.4	63	4 0 0
36.9	21	2 2 2
38.8	31	0 4 0
40.7	42	6 2 -3
50.1	27	4 4 0